For Dy3Cu3Sb4, a cell relaxed with GGA-PBE gives the simulated X-ray diffraction stick pattern in this record (λ = 1.5418 Å (Cu Kα)).

Main lines, in order of rising 2θ (2θ from 15° to 90°):
| 2θ (°) | Rel. int. | (hkl) |
| --- | --- | --- |
| 29.53 | 54 | 3 1 0 |
| 35.10 | 100 | 3 2 1 |
| 42.26 | 36 | 4 2 0 |
| 44.42 | 11 | 3 3 2 |
| 46.51 | 16 | 4 2 2 |
| 48.53 | 10 | 4 3 1 |
| 52.39 | 8 | 5 2 1 |
| 59.58 | 18 | 6 1 1 |
| 61.29 | 13 | 6 2 0 |
| 62.98 | 9 | 5 4 1 |
| 67.89 | 9 | 4 4 4 |
| 72.64 | 14 | 5 5 2 |

Crystal structure
Unit cell a=9.5649 b=9.5649 c=9.5649 alpha=90.00 beta=90.00 gamma=90.00
Space group I-43d (No. 220)
One atom of each set of equivalent atoms:
Dy (0.0000, 0.2500, 0.3750) (multiplicity 12)
Cu (0.0000, 0.2500, 0.8750) (multiplicity 12)
Sb (0.0803, 0.0803, 0.0803) (multiplicity 16)

For DySc2Cu4Si4, a cell relaxed with GGA-PBE gives the simulated X-ray diffraction stick pattern in this record (λ = 1.5418 Å (Cu Kα)).

Main lines, in order of rising 2θ (2θ from 15° to 90°):
| 2θ (°) | Rel. int. | (hkl) |
| --- | --- | --- |
| 15.12 | 47 | 0 1 1 |
| 29.60 | 43 | 1 1 2 |
| 30.31 | 47 | 1 0 3 |
| 36.25 | 100 | 1 2 1 |
| 36.67 | 32 | 0 1 5 |
| 38.02 | 80 | 1 1 4 |
| 40.97 | 30 | 0 0 6 |
| 45.73 | 38 | 2 0 0 |
| 46.49 | 43 | 0 3 3 |
| 49.97 | 30 | 1 2 5 |
| 63.05 | 24 | 2 0 6 |
| 67.27 | 27 | 2 3 3 |

Crystal structure
Unit cell a=3.9680 b=6.5372 c=13.2170 alpha=90.00 beta=90.00 gamma=90.00
Space group Immm (No. 71)
One atom of each set of equivalent atoms:
Dy (0.0000, 0.0000, 0.0000) (multiplicity 2)
Sc (0.0000, 0.5000, 0.1259) (multiplicity 4)
Cu (0.0000, 0.3065, 0.3286) (multiplicity 8)
Si (0.0000, 0.0000, 0.2209) (multiplicity 4)
Si (0.0000, 0.1809, 0.5000) (multiplicity 4)